No. 1
# Mg2Fe3MoS8
Theoretical XRD peak list, Cu Kα (λ = 1.5418 Å). Input: a cell relaxed with PBE.
Peak positions follow from Bragg's law for the DFT cell and can differ from measured ones.

Cell lengths 7.0386, 7.0413, 7.0606 Å; angles 119.86, 90.05, 119.87 degrees
Atoms (fractional coordinates):
Mg 0.1275 0.2559 0.3847
Mg 0.8725 0.7441 0.6153
Fe 0.0000 0.5000 0.0000
Fe 0.5000 0.0000 0.0000
Fe 0.5000 0.5000 0.0000
Mo 0.5000 0.0000 0.5000
S 0.2550 0.5098 0.2174
S 0.2551 0.9628 0.2174
S 0.2690 0.5379 0.8066
S 0.2927 0.0377 0.7829
S 0.7073 0.9623 0.2171
S 0.7310 0.4621 0.1934
S 0.7449 0.0372 0.7826
S 0.7450 0.4902 0.7826

Main lines, sorted by position (2θ from 10° to 90°):
2θ/deg  intensity
15.4  100
29.7  43
29.7  38
36.0  62
36.1  31
47.3  34
47.4  9
51.8  39
51.8  15
52.0  30


No. 2
# Mg2FeMo3S8
Theoretical XRD peak list, Cu Kα (λ = 1.5418 Å). Input: a cell relaxed with PBE.
Peak positions follow from Bragg's law for the DFT cell and can differ from measured ones.

Cell lengths 7.3117, 7.3117, 7.2930 Å; angles 119.68, 119.68, 60.45 degrees
Atoms (fractional coordinates):
Mg 0.1240 0.1240 0.3756
Mg 0.8760 0.8760 0.6244
Fe 0.5000 0.5000 0.0000
Mo 0.0000 0.5000 0.0000
Mo 0.5000 0.0000 0.0000
Mo 0.5000 0.5000 0.5000
S 0.2603 0.2603 0.2406
S 0.2645 0.2645 0.7847
S 0.2647 0.7155 0.2364
S 0.2845 0.7353 0.7636
S 0.7155 0.2647 0.2364
S 0.7353 0.2845 0.7636
S 0.7355 0.7355 0.2153
S 0.7397 0.7397 0.7594

Main lines, sorted by position (2θ from 10° to 90°):
2θ/deg  intensity
14.8  63
14.9  42
28.5  63
28.7  31
34.6  100
45.5  17
49.5  15
49.7  30
49.9  30
50.0  15


No. 3
# Mg5FeN4
Theoretical XRD peak list, Cu Kα (λ = 1.5418 Å). Input: a cell relaxed with PBE.
Peak positions follow from Bragg's law for the DFT cell and can differ from measured ones.

Cell lengths 6.7106, 7.1482, 5.1958 Å; angles 90.00, 90.00, 90.00 degrees
Atoms (fractional coordinates):
Mg 0.0031 0.0515 0.2492
Mg 0.0031 0.4485 0.2492
Mg 0.2500 0.2500 0.7200
Mg 0.4969 0.0515 0.2492
Mg 0.4969 0.4485 0.2492
Mg 0.5031 0.5515 0.7508
Mg 0.5031 0.9485 0.7508
Mg 0.7500 0.7500 0.2800
Mg 0.9969 0.5515 0.7508
Mg 0.9969 0.9485 0.7508
Fe 0.2500 0.7500 0.2879
Fe 0.7500 0.2500 0.7121
N 0.0050 0.7500 0.0502
N 0.2500 0.9996 0.5039
N 0.2500 0.5004 0.5039
N 0.4950 0.7500 0.0502
N 0.5050 0.2500 0.9498
N 0.7500 0.0004 0.4961
N 0.7500 0.4996 0.4961
N 0.9950 0.2500 0.9498

Main lines, sorted by position (2θ from 10° to 90°):
2θ/deg  intensity
21.1  50
31.7  27
34.2  93
34.5  33
36.7  44
41.7  70
51.3  100
54.7  27
71.1  25
74.4  24


No. 4
# MgFe2N2
Theoretical XRD peak list, Cu Kα (λ = 1.5418 Å). Input: a cell relaxed with PBE.
Peak positions follow from Bragg's law for the DFT cell and can differ from measured ones.

Cell lengths 3.5267, 3.5267, 4.9871 Å; angles 90.00, 90.00, 90.00 degrees
Atoms (fractional coordinates):
Mg 0.0000 0.0000 0.0000
Fe 0.5000 0.5000 0.2694
Fe 0.5000 0.5000 0.7306
N 0.0000 0.5000 0.7403
N 0.5000 0.0000 0.2597

Main lines, sorted by position (2θ from 10° to 90°):
2θ/deg  intensity
25.3  100
31.1  32
36.0  91
44.5  94
51.8  54
58.5  17
64.8  17
70.7  42
76.4  16
87.5  23